Calculated X-ray powder pattern
Compound: SnH6Pd8
Radiation: Cu Kα X-rays
Structure: the GGA-PBE geometry in Alexandria
Kinematic intensities with the Lorentz-polarization factor, no thermal factor.

Most intense lines, 2θ from 10° to 90°, low angle first:
d_spacing, I (rel.), index
2.349, 100.0, 2 -1 3
2.342, 96.5, 3 0 0
1.658, 32.0, 2 2 3
1.358, 16.6, 1 1 6
1.353, 44.7, 5 -1 3
1.174, 9.7, 4 -2 6

Atomic structure:
a = 8.1120 Å, b = 8.1120 Å, c = 8.6438 Å
α = 90.00°, β = 90.00°, γ = 120.00°
Space group R-3 (No. 148, hexagonal axes)
Asymmetric unit:
Sn1 0.0000 0.0000 0.0000 [3 per cell]
H1 0.0639 0.2406 0.6175 [18 per cell]
Pd1 0.0000 0.0000 0.3198 [6 per cell]
Pd2 0.0102 0.3202 0.1104 [18 per cell]

***

Calculated X-ray powder pattern
Compound: Sm6Y3Tm2
Radiation: Cu Kα X-rays
Structure: the GGA-PBE geometry in Alexandria
Kinematic intensities with the Lorentz-polarization factor, no thermal factor.

Most intense lines, 2θ from 10° to 90°, low angle first:
d_spacing, I (rel.), index
2.929, 100.0, 0 1 11
2.914, 32.8, 0 0 33
2.534, 67.0, 1 0 22
1.795, 24.4, 1 1 0
1.788, 23.5, 0 1 44
1.529, 42.3, 2 0 11

Atomic structure:
a = 3.5901 Å, b = 3.5901 Å, c = 96.1718 Å
α = 90.00°, β = 90.00°, γ = 120.00°
Space group R-3m (No. 166, hexagonal axes)
Asymmetric unit:
Sm1 0.0000 0.0000 0.0914 [6 per cell]
Sm2 0.0000 0.0000 0.1822 [6 per cell]
Sm3 0.0000 0.0000 0.3638 [6 per cell]
Y1 0.0000 0.0000 0.0000 [3 per cell]
Y2 0.0000 0.0000 0.2724 [6 per cell]
Tm1 0.0000 0.0000 0.4546 [6 per cell]